Structure and theoretical powder diffraction line list of CaLaRh2Pb4 (a DFT-relaxed cell (PBE, Alexandria); copper Kα).

Largest 12 diffraction maxima, sorted by position, 10 to 80 degrees two-theta:
- 2θ = 15.87°, intensity 42, (0 0 2)
- 2θ = 28.16°, intensity 13, (1 1 0)
- 2θ = 29.29°, intensity 18, (1 1 1)
- 2θ = 32.05°, intensity 12, (0 0 4)
- 2θ = 32.48°, intensity 100, (1 1 2)
- 2θ = 40.24°, intensity 41, (2 0 0)
- 2θ = 43.18°, intensity 24, (1 1 4)
- 2θ = 43.51°, intensity 15, (2 0 2)
- 2θ = 52.35°, intensity 12, (2 0 4)
- 2θ = 58.22°, intensity 14, (2 2 0)
- 2θ = 68.27°, intensity 24, (3 1 2)
- 2θ = 75.17°, intensity 10, (3 1 4)

Lattice parameters (Å, degrees): 4.4821 4.4821 11.1698 90.00 90.00 90.00
Fractional positions:
Ca 0.0000 0.0000 0.0000
La 0.0000 0.0000 0.5000
Rh 0.5000 0.5000 0.3895
Rh 0.5000 0.5000 0.6105
Pb 0.0000 0.5000 0.2279
Pb 0.0000 0.5000 0.7721
Pb 0.5000 0.0000 0.2279
Pb 0.5000 0.0000 0.7721